Starting from a PBE-relaxed structure, the X-ray powder pattern of DyZn2F8 was computed for Cu Kα (weighted mean of Kα1 and Kα2).
Peak positions follow from Bragg's law for the DFT cell and can differ from measured ones.

Principal peaks in the range 15° ≤ 2θ ≤ 90°, sorted by position:
hkl 1 0 1, 4.842 Å, intensity 96
hkl 1 1 2, 3.107 Å, intensity 100
hkl 2 1 1, 2.379 Å, intensity 28
hkl 2 0 4, 1.889 Å, intensity 41
hkl 3 1 2, 1.640 Å, intensity 30
hkl 1 1 6, 1.589 Å, intensity 24

Structure:
```
data_DyZn2F8
_symmetry_space_group_name_H-M 'I 4 2 2'
_symmetry_Int_Tables_number 97
_symmetry_space_group_name_Hall 'I 4 2'
_cell_length_a 5.462
_cell_length_b 5.462
_cell_length_c 10.459
_cell_angle_alpha 90.00
_cell_angle_beta 90.00
_cell_angle_gamma 90.00
loop_
_atom_site_label
_atom_site_type_symbol
_atom_site_fract_x
_atom_site_fract_y
_atom_site_fract_z
_atom_site_occupancy
Dy1 Dy 0.000 0.000 0.000 1
Zn1 Zn 0.000 0.500 0.250 1
F1 F 0.164 0.300 0.874 1
```

=====

Starting from a PBE-relaxed structure, the X-ray powder pattern of DyZrF7 was computed for Cu Kα (weighted mean of Kα1 and Kα2).
Peak positions follow from Bragg's law for the DFT cell and can differ from measured ones.

Principal peaks in the range 15° ≤ 2θ ≤ 90°, sorted by position:
hkl 1 1 0, 4.169 Å, intensity 100
hkl 0 0 2, 4.053 Å, intensity 37
hkl 1 1 1, 3.486 Å, intensity 27
hkl 1 1 -2, 3.173 Å, intensity 31
hkl 2 2 -1, 2.102 Å, intensity 18
hkl 2 2 1, 1.945 Å, intensity 16

Structure:
```
data_DyZrF7
_symmetry_space_group_name_H-M 'P 1 21 1'
_symmetry_Int_Tables_number 4
_symmetry_space_group_name_Hall 'P 2yb'
_cell_length_a 6.099
_cell_length_b 5.857
_cell_length_c 8.329
_cell_angle_alpha 90.00
_cell_angle_beta 103.26
_cell_angle_gamma 90.00
loop_
_atom_site_label
_atom_site_type_symbol
_atom_site_fract_x
_atom_site_fract_y
_atom_site_fract_z
_atom_site_occupancy
Dy1 Dy 0.151 0.000 0.188 1
Zr1 Zr 0.318 0.001 0.726 1
F1 F 0.008 0.742 0.003 1
F2 F 0.085 0.746 0.707 1
F3 F 0.087 0.259 0.707 1
F4 F 0.270 0.000 0.476 1
F5 F 0.363 0.003 0.975 1
F6 F 0.428 0.266 0.256 1
F7 F 0.432 0.740 0.259 1
```

=====

Starting from a PBE-relaxed structure, the X-ray powder pattern of Dy6Fe23 was computed for Cu Kα (weighted mean of Kα1 and Kα2).
Peak positions follow from Bragg's law for the DFT cell and can differ from measured ones.

Principal peaks in the range 15° ≤ 2θ ≤ 90°, sorted by position:
hkl 2 2 2, 3.464 Å, intensity 28
hkl 3 3 1, 2.753 Å, intensity 23
hkl 4 2 2, 2.449 Å, intensity 31
hkl 3 3 3, 2.309 Å, intensity 84
hkl 4 4 0, 2.121 Å, intensity 100
hkl 8 2 2, 1.414 Å, intensity 22

Structure:
```
data_Dy6Fe23
_symmetry_space_group_name_H-M 'F m -3 m'
_symmetry_Int_Tables_number 225
_symmetry_space_group_name_Hall '-F 4 2 3'
_cell_length_a 12.000
_cell_length_b 12.000
_cell_length_c 12.000
_cell_angle_alpha 90.00
_cell_angle_beta 90.00
_cell_angle_gamma 90.00
loop_
_atom_site_label
_atom_site_type_symbol
_atom_site_fract_x
_atom_site_fract_y
_atom_site_fract_z
_atom_site_occupancy
Dy1 Dy 0.000 0.000 0.209 1
Fe1 Fe 0.000 0.000 0.500 1
Fe2 Fe 0.000 0.250 0.250 1
Fe3 Fe 0.122 0.122 0.378 1
Fe4 Fe 0.176 0.176 0.176 1
```

=====

Starting from a PBE-relaxed structure, the X-ray powder pattern of DyFe3 was computed for Cu Kα (weighted mean of Kα1 and Kα2).
Peak positions follow from Bragg's law for the DFT cell and can differ from measured ones.

Principal peaks in the range 15° ≤ 2θ ≤ 90°, sorted by position:
hkl 1 0 5, 2.606 Å, intensity 75
hkl 1 1 0, 2.545 Å, intensity 57
hkl 2 0 1, 2.184 Å, intensity 35
hkl 1 1 4, 2.153 Å, intensity 100
hkl 2 1 5, 1.481 Å, intensity 26
hkl 3 0 4, 1.381 Å, intensity 23

Structure:
```
data_DyFe3
_symmetry_space_group_name_H-M 'P 63/m m c'
_symmetry_Int_Tables_number 194
_symmetry_space_group_name_Hall '-P 6c 2c'
_cell_length_a 5.0894
_cell_length_b 5.0894
_cell_length_c 16.1600
_cell_angle_alpha 90.00
_cell_angle_beta 90.00
_cell_angle_gamma 120.00
loop_
_atom_site_label
_atom_site_type_symbol
_atom_site_fract_x
_atom_site_fract_y
_atom_site_fract_z
_atom_site_occupancy
Dy1 Dy 0.3333 0.6667 0.0373 1
Dy2 Dy 0.3333 0.6667 0.2500 1
Fe1 Fe 0.0000 0.0000 0.0000 1
Fe2 Fe 0.0000 0.0000 0.2500 1
Fe3 Fe 0.1668 0.3336 0.6279 1
Fe4 Fe 0.3333 0.6667 0.7500 1
```

=====

Starting from a PBE-relaxed structure, the X-ray powder pattern of DyFe12 was computed for Cu Kα (weighted mean of Kα1 and Kα2).
Peak positions follow from Bragg's law for the DFT cell and can differ from measured ones.

Principal peaks in the range 15° ≤ 2θ ≤ 90°, sorted by position:
hkl 2 1 1, 2.937 Å, intensity 40
hkl 3 0 1, 2.410 Å, intensity 47
hkl 4 0 0, 2.109 Å, intensity 61
hkl 3 2 1, 2.093 Å, intensity 100
hkl 2 0 2, 2.046 Å, intensity 70
hkl 2 2 2, 1.841 Å, intensity 24

Structure:
```
data_DyFe12
_symmetry_space_group_name_H-M 'I 4/m m m'
_symmetry_Int_Tables_number 139
_symmetry_space_group_name_Hall '-I 4 2'
_cell_length_a 8.437
_cell_length_b 8.437
_cell_length_c 4.679
_cell_angle_alpha 90.00
_cell_angle_beta 90.00
_cell_angle_gamma 90.00
loop_
_atom_site_label
_atom_site_type_symbol
_atom_site_fract_x
_atom_site_fract_y
_atom_site_fract_z
_atom_site_occupancy
Dy1 Dy 0.000 0.000 0.000 1
Fe1 Fe 0.000 0.227 0.500 1
Fe2 Fe 0.000 0.358 0.000 1
Fe3 Fe 0.250 0.250 0.250 1
```

=====

Starting from a PBE-relaxed structure, the X-ray powder pattern of Dy2Fe7 was computed for Cu Kα (weighted mean of Kα1 and Kα2).
Peak positions follow from Bragg's law for the DFT cell and can differ from measured ones.

Principal peaks in the range 15° ≤ 2θ ≤ 90°, sorted by position:
hkl 1 0 10, 2.784 Å, intensity 46
hkl 0 1 11, 2.625 Å, intensity 30
hkl 1 1 0, 2.519 Å, intensity 52
hkl 0 2 1, 2.178 Å, intensity 35
hkl 1 1 9, 2.134 Å, intensity 100
hkl 0 3 9, 1.368 Å, intensity 22

Structure:
```
data_Dy2Fe7
_symmetry_space_group_name_H-M 'R -3 m'
_symmetry_Int_Tables_number 166
_symmetry_space_group_name_Hall '-R 3 2"'
_cell_length_a 5.0381
_cell_length_b 5.0381
_cell_length_c 36.1582
_cell_angle_alpha 90.00
_cell_angle_beta 90.00
_cell_angle_gamma 120.00
loop_
_atom_site_label
_atom_site_type_symbol
_atom_site_fract_x
_atom_site_fract_y
_atom_site_fract_z
_atom_site_occupancy
Dy1 Dy 0.0000 0.0000 0.0514 1
Dy2 Dy 0.0000 0.0000 0.1490 1
Fe1 Fe 0.0000 0.0000 0.2795 1
Fe2 Fe 0.0000 0.0000 0.3867 1
Fe3 Fe 0.0000 0.0000 0.5000 1
Fe4 Fe 0.0000 0.5000 0.0000 1
Fe5 Fe 0.0016 0.5008 0.1088 1
```

=====

Starting from a PBE-relaxed structure, the X-ray powder pattern of Dy4Ga12Fe was computed for Cu Kα (weighted mean of Kα1 and Kα2).
Peak positions follow from Bragg's law for the DFT cell and can differ from measured ones.

Principal peaks in the range 15° ≤ 2θ ≤ 90°, sorted by position:
hkl 2 0 0, 4.291 Å, intensity 11
hkl 2 2 0, 3.034 Å, intensity 24
hkl 2 2 2, 2.477 Å, intensity 100
hkl 4 0 0, 2.145 Å, intensity 57
hkl 4 4 0, 1.517 Å, intensity 35
hkl 6 2 2, 1.294 Å, intensity 33

Structure:
```
data_Dy4Ga12Fe
_symmetry_space_group_name_H-M 'I m -3 m'
_symmetry_Int_Tables_number 229
_symmetry_space_group_name_Hall '-I 4 2 3'
_cell_length_a 8.581
_cell_length_b 8.581
_cell_length_c 8.581
_cell_angle_alpha 90.00
_cell_angle_beta 90.00
_cell_angle_gamma 90.00
loop_
_atom_site_label
_atom_site_type_symbol
_atom_site_fract_x
_atom_site_fract_y
_atom_site_fract_z
_atom_site_occupancy
Dy1 Dy 0.250 0.250 0.250 1
Ga1 Ga 0.000 0.000 0.285 1
Ga2 Ga 0.000 0.250 0.500 1
Fe1 Fe 0.000 0.000 0.000 1
```

=====

Starting from a PBE-relaxed structure, the X-ray powder pattern of DyFe6Ge6 was computed for Cu Kα (weighted mean of Kα1 and Kα2).
Peak positions follow from Bragg's law for the DFT cell and can differ from measured ones.

Principal peaks in the range 15° ≤ 2θ ≤ 90°, sorted by position:
hkl 0 0 2, 2.555 Å, intensity 71
hkl 0 4 2, 2.213 Å, intensity 51
hkl 2 0 2, 2.164 Å, intensity 100
hkl 4 0 0, 2.035 Å, intensity 24
hkl 2 8 0, 1.944 Å, intensity 40
hkl 6 0 2, 1.198 Å, intensity 26

Structure:
```
data_DyFe6Ge6
_symmetry_space_group_name_H-M 'C m c m'
_symmetry_Int_Tables_number 63
_symmetry_space_group_name_Hall '-C 2c 2'
_cell_length_a 8.142
_cell_length_b 17.679
_cell_length_c 5.116
_cell_angle_alpha 90.00
_cell_angle_beta 90.00
_cell_angle_gamma 90.00
loop_
_atom_site_label
_atom_site_type_symbol
_atom_site_fract_x
_atom_site_fract_y
_atom_site_fract_z
_atom_site_occupancy
Dy1 Dy 0.000 0.127 0.250 1
Fe1 Fe 0.249 0.000 0.000 1
Fe2 Fe 0.250 0.125 0.750 1
Fe3 Fe 0.250 0.250 0.000 1
Ge1 Ge 0.000 0.042 0.750 1
Ge2 Ge 0.000 0.211 0.750 1
Ge3 Ge 0.000 0.296 0.250 1
Ge4 Ge 0.000 0.459 0.250 1
Ge5 Ge 0.153 0.376 0.750 1
```

=====

Starting from a PBE-relaxed structure, the X-ray powder pattern of DyFeGe3 was computed for Cu Kα (weighted mean of Kα1 and Kα2).
Peak positions follow from Bragg's law for the DFT cell and can differ from measured ones.

Principal peaks in the range 15° ≤ 2θ ≤ 90°, sorted by position:
hkl 0 0 2, 2.793 Å, intensity 45
hkl 2 1 0, 2.642 Å, intensity 40
hkl 0 2 1, 2.473 Å, intensity 94
hkl 2 1 1, 2.388 Å, intensity 100
hkl 2 1 2, 1.919 Å, intensity 54
hkl 4 2 1, 1.285 Å, intensity 22

Structure:
```
data_DyFeGe3
_symmetry_space_group_name_H-M 'P m n 21'
_symmetry_Int_Tables_number 31
_symmetry_space_group_name_Hall 'P 2ac -2'
_cell_length_a 6.018
_cell_length_b 5.516
_cell_length_c 5.586
_cell_angle_alpha 90.00
_cell_angle_beta 90.00
_cell_angle_gamma 90.00
loop_
_atom_site_label
_atom_site_type_symbol
_atom_site_fract_x
_atom_site_fract_y
_atom_site_fract_z
_atom_site_occupancy
Dy1 Dy 0.000 0.131 0.000 1
Fe1 Fe 0.000 0.618 0.252 1
Ge1 Ge 0.000 0.912 0.533 1
Ge2 Ge 0.235 0.351 0.455 1
```

=====

Starting from a PBE-relaxed structure, the X-ray powder pattern of DyFe6Ge12 was computed for Cu Kα (weighted mean of Kα1 and Kα2).
Peak positions follow from Bragg's law for the DFT cell and can differ from measured ones.

Principal peaks in the range 15° ≤ 2θ ≤ 90°, sorted by position:
hkl 2 2 2, 2.466 Å, intensity 21
hkl 3 2 1, 2.283 Å, intensity 100
hkl 4 0 0, 2.136 Å, intensity 15
hkl 4 1 1, 2.014 Å, intensity 15
hkl 4 1 3, 1.676 Å, intensity 15
hkl 5 3 2, 1.386 Å, intensity 24

Structure:
```
data_DyFe6Ge12
_symmetry_space_group_name_H-M 'I m -3'
_symmetry_Int_Tables_number 204
_symmetry_space_group_name_Hall '-I 2 2 3'
_cell_length_a 8.544
_cell_length_b 8.544
_cell_length_c 8.544
_cell_angle_alpha 90.00
_cell_angle_beta 90.00
_cell_angle_gamma 90.00
loop_
_atom_site_label
_atom_site_type_symbol
_atom_site_fract_x
_atom_site_fract_y
_atom_site_fract_z
_atom_site_occupancy
Dy1 Dy 0.000 0.000 0.000 1
Fe1 Fe 0.000 0.356 0.500 1
Ge1 Ge 0.000 0.177 0.292 1
```

=====

Starting from a PBE-relaxed structure, the X-ray powder pattern of DyFe4Ge12 was computed for Cu Kα (weighted mean of Kα1 and Kα2).
Peak positions follow from Bragg's law for the DFT cell and can differ from measured ones.

Principal peaks in the range 15° ≤ 2θ ≤ 90°, sorted by position:
hkl 3 0 1, 2.673 Å, intensity 100
hkl 3 1 2, 2.259 Å, intensity 56
hkl 4 2 2, 1.725 Å, intensity 32
hkl 4 3 1, 1.658 Å, intensity 27
hkl 5 3 0, 1.450 Å, intensity 12
hkl 6 1 3, 1.246 Å, intensity 18

Structure:
```
data_DyFe4Ge12
_symmetry_space_group_name_H-M 'I m -3'
_symmetry_Int_Tables_number 204
_symmetry_space_group_name_Hall '-I 2 2 3'
_cell_length_a 8.452
_cell_length_b 8.452
_cell_length_c 8.452
_cell_angle_alpha 90.00
_cell_angle_beta 90.00
_cell_angle_gamma 90.00
loop_
_atom_site_label
_atom_site_type_symbol
_atom_site_fract_x
_atom_site_fract_y
_atom_site_fract_z
_atom_site_occupancy
Dy1 Dy 0.000 0.000 0.000 1
Fe1 Fe 0.250 0.250 0.250 1
Ge1 Ge 0.000 0.339 0.165 1
```